1.
For Ca2Cr2O5, DFT lattice parameters and positions (GGA+U) gives the calculated powder XRD pattern in this record (a wavelength of 1.5418 Å).
Lines closer than 0.1° are merged.

Crystal structure
```
Ca2Cr2O5
1.0
-7.539 2.815 2.720
7.539 -2.815 2.720
7.539 2.815 -2.720
Ca Cr O
4 4 10
Cartesian
1.572 0.125 0.000 Ca
5.967 0.125 0.000 Ca
1.572 2.690 2.720 Ca
5.967 2.690 2.720 Ca
3.769 -0.375 2.936 Cr
0.000 0.000 2.672 Cr
7.539 0.000 2.672 Cr
3.769 3.190 0.216 Cr
11.308 0.656 -0.560 O
2.048 2.464 -0.152 O
5.491 2.464 -0.152 O
-0.236 1.436 1.340 O
7.775 1.436 1.340 O
2.048 0.352 2.568 O
5.491 0.352 2.568 O
-3.769 2.160 2.160 O
0.236 4.194 1.340 O
-0.236 1.379 4.060 O
```

Main lines, low angle first (10° ≤ 2θ ≤ 90°):
2θ (°)  I_rel
11.74  14
22.73  8
31.79  27
32.98  100
42.77  13
46.42  31
48.29  13
57.40  12
58.84  13
69.22  10

=====

2.
For CaCr2O4, DFT lattice parameters and positions (GGA+U) gives the calculated powder XRD pattern in this record (a wavelength of 1.5418 Å).
Lines closer than 0.1° are merged.

Crystal structure
```
CaCr2O4
1.0
5.199 -3.014 0.000
5.199 3.014 0.000
-3.484 0.000 11.253
Ca Cr O
4 8 16
Cartesian
0.000 0.000 0.000 Ca
-0.012 0.000 5.874 Ca
3.458 0.000 5.627 Ca
6.929 0.000 0.246 Ca
2.565 1.537 8.409 Cr
4.309 1.478 2.782 Cr
1.769 0.000 2.784 Cr
-0.016 0.000 8.684 Cr
4.309 -1.478 2.782 Cr
2.565 -1.537 8.409 Cr
5.223 0.000 8.408 Cr
6.925 0.000 3.056 Cr
-0.008 0.000 3.740 O
-1.804 0.000 9.562 O
0.880 1.551 9.573 O
2.615 1.459 3.946 O
1.697 0.000 7.360 O
4.332 1.526 7.356 O
3.470 0.000 1.774 O
6.076 1.488 1.730 O
2.615 -1.459 3.946 O
5.134 0.000 3.945 O
3.451 0.000 9.367 O
0.880 -1.551 9.573 O
8.640 0.000 1.729 O
6.076 -1.488 1.730 O
6.924 0.000 7.400 O
4.332 -1.526 7.356 O
```

Main lines, low angle first (10° ≤ 2θ ≤ 90°):
2θ (°)  I_rel
15.75  100
29.70  14
31.81  19
33.77  11
34.85  41
40.71  85
51.66  30
56.05  18
61.54  11
61.75  22

=====

3.
For Ca2CrO8, DFT lattice parameters and positions (GGA+U) gives the calculated powder XRD pattern in this record (a wavelength of 1.5418 Å).
Lines closer than 0.1° are merged.

Crystal structure
```
Ca2CrO8
1.0
4.253 -3.826 0.000
4.253 3.826 0.000
-0.954 0.000 4.764
Ca Cr O
2 1 8
Cartesian
4.253 1.938 0.000 Ca
4.253 -1.938 0.000 Ca
4.910 0.000 2.890 Cr
-0.545 0.000 3.009 O
2.074 0.671 0.661 O
2.074 -0.671 0.661 O
3.300 0.000 3.316 O
5.542 1.373 3.561 O
5.031 0.000 1.221 O
5.542 -1.373 3.561 O
7.966 0.000 1.671 O
```

Main lines, low angle first (10° ≤ 2θ ≤ 90°):
2θ (°)  I_rel
15.72  55
21.30  38
22.78  39
26.04  51
29.95  100
34.32  32
34.76  46
36.02  29
39.23  32
39.72  24

=====

4.
For CaCr4O9, DFT lattice parameters and positions (GGA+U) gives the calculated powder XRD pattern in this record (a wavelength of 1.5418 Å).
Lines closer than 0.1° are merged.

Crystal structure
```
CaCr4O9
1.0
8.457 0.000 0.000
0.000 8.457 0.000
0.000 0.000 5.186
Ca Cr O
2 8 18
Cartesian
2.114 2.114 0.719 Ca
6.343 6.343 4.467 Ca
0.323 5.575 2.021 Cr
1.347 8.134 3.165 Cr
2.882 4.552 3.165 Cr
3.905 7.111 2.021 Cr
4.552 1.347 3.165 Cr
5.575 3.905 2.021 Cr
7.111 0.323 2.021 Cr
8.134 2.882 3.165 Cr
0.108 2.718 4.779 O
0.329 1.233 2.409 O
1.233 3.900 2.409 O
1.510 0.108 4.779 O
2.114 6.343 2.593 O
2.718 4.120 4.779 O
2.995 0.329 2.409 O
3.900 2.995 2.409 O
4.120 1.510 4.779 O
4.337 6.947 0.407 O
4.557 5.462 2.778 O
5.462 8.128 2.778 O
5.739 4.337 0.407 O
6.343 2.114 2.593 O
6.947 8.349 0.407 O
7.224 4.557 2.778 O
8.128 7.224 2.778 O
8.349 5.739 0.407 O
```

Main lines, low angle first (10° ≤ 2θ ≤ 90°):
2θ (°)  I_rel
17.10  68
22.69  25
29.22  100
33.51  47
34.60  13
42.26  25
48.12  35
51.43  20
57.29  24
58.72  20

=====

5.
For Ca5Cr3O13, DFT lattice parameters and positions (GGA+U) gives the calculated powder XRD pattern in this record (a wavelength of 1.5418 Å).
Lines closer than 0.1° are merged.

Crystal structure
```
Ca5Cr3O13
1.0
9.827 0.000 0.000
0.000 6.962 0.000
-4.813 0.000 8.715
Ca Cr O
10 6 26
Cartesian
-1.058 1.740 1.984 Ca
-2.614 1.740 8.561 Ca
1.185 5.221 1.736 Ca
-0.059 3.487 5.865 Ca
-0.059 6.956 5.865 Ca
5.074 0.006 2.850 Ca
5.074 3.475 2.850 Ca
3.830 1.740 6.978 Ca
7.629 5.221 0.154 Ca
6.072 5.221 6.731 Ca
-2.718 1.740 5.414 Cr
1.734 1.740 3.557 Cr
3.879 5.221 0.283 Cr
1.135 1.740 8.432 Cr
3.281 5.221 5.158 Cr
7.732 5.221 3.301 Cr
0.002 1.740 0.071 O
-2.706 0.389 6.479 O
-2.706 3.092 6.479 O
-1.187 1.740 4.588 O
-0.811 5.221 4.428 O
0.918 0.401 3.000 O
0.918 3.080 3.000 O
-0.757 5.221 7.291 O
2.960 3.848 0.780 O
2.960 6.595 0.780 O
-0.303 1.740 7.479 O
1.701 1.740 5.239 O
1.718 5.221 5.710 O
3.297 1.740 3.005 O
3.313 5.221 3.476 O
5.317 5.221 1.236 O
2.054 0.367 7.935 O
2.054 3.114 7.935 O
5.771 1.740 1.424 O
4.096 3.882 5.714 O
4.096 6.561 5.714 O
5.825 1.740 4.287 O
6.202 5.221 4.127 O
7.720 3.870 2.236 O
7.720 6.573 2.236 O
5.013 5.221 8.644 O
```

Main lines, low angle first (10° ≤ 2θ ≤ 90°):
2θ (°)  I_rel
25.59  100
29.99  70
30.15  77
30.42  63
30.54  70
31.22  55
31.50  60
32.93  37
48.27  47
52.58  51